Structure and simulated powder diffractogram of PaNi6O12 (a crystal structure in Alexandria, relaxed with GGA+U; copper Kα).

Top 10 peaks for 2θ from 5° to 70°, in order of rising 2θ:
d_spacing	Position (°2θ)	Rel. int.
5.171	17.1	13.8
3.657	24.3	83.7
2.986	29.9	64.7
2.586	34.7	13.5
2.313	38.9	15.4
1.955	46.5	100.0
1.828	49.9	10.6
1.724	53.1	20.7
1.559	59.3	9.6
1.434	65.0	36.9

Structure:
Lattice parameters (Å, degrees): 6.334 6.334 6.334 109.47 109.47 109.47
Fractional coordinates of all 19 atoms:
Pa  0.000  0.000  0.000
Ni  0.160  0.500  0.660
Ni  0.340  0.840  0.500
Ni  0.500  0.340  0.840
Ni  0.500  0.660  0.160
Ni  0.660  0.160  0.500
Ni  0.840  0.500  0.340
O  0.152  0.471  0.319
O  0.152  0.833  0.681
O  0.167  0.319  0.848
O  0.319  0.152  0.471
O  0.319  0.848  0.167
O  0.471  0.319  0.152
O  0.529  0.681  0.848
O  0.681  0.152  0.833
O  0.681  0.848  0.529
O  0.833  0.681  0.152
O  0.848  0.167  0.319
O  0.848  0.529  0.681